(1)
Structure and simulated PXRD pattern of V6O11F (a cell relaxed with GGA+U; λ = 1.5418 Å (Cu Kα)).

Principal peaks in the range 15° ≤ 2θ ≤ 90°, by angle:
(1 1 1), 27.1°, intensity 97; (-1 1 1), 27.6°, intensity 100; (0 2 -1), 35.5°, intensity 27; (1 -1 2), 35.7°, intensity 50; (0 0 3), 35.9°, intensity 23; (1 -2 1), 40.8°, intensity 19; (1 -3 0), 54.0°, intensity 29; (2 2 2), 55.8°, intensity 17; (-2 2 2), 57.1°, intensity 17; (0 2 -4), 61.8°, intensity 17

Cell and atoms:
```
data_V6O11F
_cell_length_a 4.616
_cell_length_b 5.531
_cell_length_c 7.532
_cell_angle_alpha 85.81
_cell_angle_beta 89.22
_cell_angle_gamma 89.01
_symmetry_space_group_name_H-M 'P 1'
_symmetry_Int_Tables_number 1
loop_
_symmetry_equiv_pos_as_xyz
'x,y,z'
loop_
_atom_site_label
_atom_site_fract_x
_atom_site_fract_y
_atom_site_fract_z
V1 0.000 0.000 0.000
V2 0.004 0.656 0.351
V3 0.027 0.339 0.697
V4 0.500 0.816 0.679
V5 0.511 0.504 0.023
V6 0.542 0.182 0.362
O1 0.221 0.642 0.588
O2 0.227 0.297 0.932
O3 0.320 0.474 0.263
O4 0.324 0.799 0.921
O5 0.332 0.135 0.576
O6 0.711 0.538 0.792
O7 0.714 0.198 0.135
O8 0.732 0.871 0.453
O9 0.816 0.026 0.797
O10 0.821 0.700 0.120
O11 0.829 0.376 0.460
F1 0.214 0.968 0.248
```

---

(2)
Structure and simulated PXRD pattern of VOF3 (a cell relaxed with GGA+U; λ = 1.5418 Å (Cu Kα)).

Principal peaks in the range 15° ≤ 2θ ≤ 90°, by angle:
(0 1 -1), 18.7°, intensity 100; (1 -1 0), 23.4°, intensity 65; (1 0 -1), 23.6°, intensity 64; (1 1 2), 25.0°, intensity 50; (1 2 1), 25.2°, intensity 50; (2 1 1), 31.2°, intensity 20; (0 2 -2), 38.0°, intensity 12; (0 3 -1), 41.5°, intensity 17; (-2 1 1), 43.9°, intensity 16; (2 3 3), 47.5°, intensity 17

Cell and atoms:
```
data_VOF3
_cell_length_a 5.757
_cell_length_b 7.634
_cell_length_c 7.678
_cell_angle_alpha 76.43
_cell_angle_beta 70.79
_cell_angle_gamma 71.68
_symmetry_space_group_name_H-M 'P 1'
_symmetry_Int_Tables_number 1
loop_
_symmetry_equiv_pos_as_xyz
'x,y,z'
loop_
_atom_site_label
_atom_site_fract_x
_atom_site_fract_y
_atom_site_fract_z
V1 0.000 0.000 0.000
V2 0.182 0.267 0.229
V3 0.525 0.493 0.495
V4 0.759 0.760 0.726
O1 0.026 0.206 0.117
O2 0.037 0.682 0.591
O3 0.299 0.896 0.956
O4 0.830 0.386 0.439
F1 0.151 0.508 0.155
F2 0.202 0.086 0.419
F3 0.396 0.351 0.414
F4 0.397 0.416 0.733
F5 0.484 0.680 0.313
F6 0.500 0.190 0.093
F7 0.551 0.706 0.611
F8 0.660 0.002 0.645
F9 0.705 0.578 0.912
F10 0.857 0.911 0.233
F11 0.878 0.846 0.905
F12 0.960 0.178 0.810
```

---

(3)
Structure and simulated PXRD pattern of V6O7F5 (a cell relaxed with GGA+U; λ = 1.5418 Å (Cu Kα)).

Principal peaks in the range 15° ≤ 2θ ≤ 90°, by angle:
(2 0 -2), 25.6°, intensity 100; (0 2 0), 27.8°, intensity 97; (1 1 2), 34.9°, intensity 47; (3 1 0), 35.0°, intensity 47; (1 1 -4), 51.3°, intensity 33; (5 1 -2), 51.5°, intensity 33; (1 3 2), 53.9°, intensity 53; (4 0 2), 60.5°, intensity 27; (1 3 -4), 66.7°, intensity 22; (5 3 -2), 66.9°, intensity 27

Cell and atoms:
```
data_V6O7F5
_cell_length_a 9.250
_cell_length_b 6.423
_cell_length_c 7.621
_cell_angle_alpha 90.00
_cell_angle_beta 114.83
_cell_angle_gamma 90.00
_symmetry_space_group_name_H-M 'C 1 m 1'
_symmetry_Int_Tables_number 8
loop_
_symmetry_equiv_pos_as_xyz
'x,y,z'
'x,-y,z'
'x+1/2,y+1/2,z'
'x+1/2,-y+1/2,z'
loop_
_atom_site_label
_atom_site_fract_x
_atom_site_fract_y
_atom_site_fract_z
V1 0.000 0.000 0.000
V2 0.001 0.000 0.498
V3 0.153 0.500 0.190
V4 0.166 0.500 0.659
V5 0.334 0.000 0.827
V6 0.339 0.000 0.325
O1 0.003 0.303 0.999
O2 0.065 0.500 0.363
O3 0.167 0.200 0.664
O4 0.328 0.304 0.327
F1 0.103 0.000 0.294
F2 0.231 0.000 0.030
F3 0.269 0.500 0.962
F4 0.401 0.500 0.703
F5 0.433 0.000 0.624
```